# LiFe3Si2O8
Theoretical powder diffractogram, Cu Kα, 1.54184 Å. Input: a structure optimized by DFT (PBE+U).

Cell and atoms:
Cell: 5.090 8.896 13.516 Å, 108.30 100.46 90.04°
Fractional coordinates of all 42 atoms:
Li  0.000  0.000  0.000
Li  0.118  0.639  0.168
Li  0.781  0.720  0.504
Fe  0.202  0.262  0.517
Fe  0.230  0.469  0.373
Fe  0.276  0.001  0.677
Fe  0.492  0.758  0.864
Fe  0.548  0.174  0.173
Fe  0.567  0.498  0.022
Fe  0.618  0.900  0.322
Fe  0.792  0.477  0.667
Fe  0.882  0.227  0.820
Si  0.016  0.605  0.922
Si  0.082  0.072  0.263
Si  0.294  0.631  0.608
Si  0.458  0.123  0.926
Si  0.676  0.543  0.263
Si  0.736  0.104  0.576
O  0.062  0.136  0.598
O  0.086  0.479  0.590
O  0.108  0.237  0.362
O  0.119  0.784  0.618
O  0.153  0.758  0.902
O  0.195  0.566  0.023
O  0.200  0.095  0.829
O  0.345  0.141  0.036
O  0.394  0.030  0.241
O  0.467  0.688  0.267
O  0.468  0.588  0.513
O  0.487  0.384  0.258
O  0.518  0.647  0.719
O  0.603  0.265  0.562
O  0.634  0.951  0.468
O  0.643  0.969  0.906
O  0.649  0.277  0.934
O  0.660  0.069  0.680
O  0.717  0.656  0.951
O  0.806  0.508  0.158
O  0.895  0.098  0.158
O  0.904  0.591  0.370
O  0.957  0.920  0.287
O  0.963  0.450  0.813

Top 12 peaks for 2θ from 15° to 90°, in order of rising 2θ:
d/Å	Position (°2θ)	intensity	(hkl)
4.415	20.1	31	0 1 2
4.364	20.3	20	1 0 1
4.206	21.1	58	0 0 3
4.171	21.3	43	1 -1 1
4.149	21.4	34	1 1 -2
3.640	24.5	20	1 1 1
3.619	24.6	33	-1 1 2
3.605	24.7	30	0 2 -3
2.589	34.6	24	0 2 3
2.562	35.0	100	1 3 -2
2.546	35.2	46	1 1 -5
2.436	36.9	22	-2 1 1